Calculated X-ray powder pattern of Ba2LiSi for a wavelength of 1.5418 Å, from a PBE-relaxed structure.
Neutral-atom scattering factors, no anomalous dispersion.

Largest 6 diffraction maxima, sorted by position, 10 to 90 degrees two-theta:
d/Å, 2θ (°), intensity
4.337, 20.48, 43
4.036, 22.02, 100
3.214, 27.76, 63
2.750, 32.56, 57
2.359, 38.15, 46
2.072, 43.68, 36

Structure:
a b c (Å): 4.7177 4.7177 26.0249
angles (deg): 90.00 90.00 120.00
Space group R3m (No. 160, hexagonal axes)
Inequivalent atoms, fractional coordinates:
Ba1 0.0000 0.0000 0.0000 (multiplicity 3)
Ba2 0.0000 0.0000 0.1579 (multiplicity 3)
Li1 0.0000 0.0000 0.4123 (multiplicity 3)
Si1 0.0000 0.0000 0.7461 (multiplicity 3)

=====

Calculated X-ray powder pattern of LiSbH3 for a wavelength of 1.5418 Å, from a PBE-relaxed structure.
Neutral-atom scattering factors, no anomalous dispersion.

Largest 6 diffraction maxima, sorted by position, 10 to 90 degrees two-theta:
d/Å, 2θ (°), intensity
4.634, 19.15, 100
4.499, 19.73, 92
3.626, 24.55, 63
2.984, 29.94, 76
2.860, 31.27, 66
2.261, 39.87, 51

Structure:
a b c (Å): 9.198 3.275 5.877
angles (deg): 90.00 127.96 90.00
Space group Cm (No. 8)
Inequivalent atoms, fractional coordinates:
Li1 0.000 0.000 0.000 (multiplicity 2)
Sb1 0.396 0.500 0.407 (multiplicity 2)
H1 0.153 0.500 0.223 (multiplicity 2)
H2 0.309 0.000 0.883 (multiplicity 2)
H3 0.314 0.000 0.756 (multiplicity 2)

=====

Calculated X-ray powder pattern of Al5Os4 for a wavelength of 1.5418 Å, from a PBE-relaxed structure.
Neutral-atom scattering factors, no anomalous dispersion.

Largest 6 diffraction maxima, sorted by position, 10 to 90 degrees two-theta:
d/Å, 2θ (°), intensity
5.665, 15.64, 64
2.672, 33.54, 45
2.223, 40.58, 100
1.889, 48.18, 38
1.375, 68.22, 22
1.145, 84.68, 25

Structure:
a b c (Å): 8.011 8.011 4.011
angles (deg): 90.00 90.00 90.00
Space group I4/mmm (No. 139)
Inequivalent atoms, fractional coordinates:
Al1 0.000 0.000 0.000 (multiplicity 2)
Al2 0.172 0.172 0.500 (multiplicity 8)
Os1 0.000 0.331 0.000 (multiplicity 8)